1.
# CsRbIrO4
Computed X-ray powder pattern, a wavelength of 1.5418 Å. Input: a PBE-relaxed structure.

Largest 6 diffraction maxima, low angle first, 2θ from 10° to 90°:
Position (°2θ)  I/Imax
17.35  100
26.53  47
29.46  100
31.88  29
37.87  29
48.70  43

```
data_CsRbIrO4
_chemical_formula_sum 'Cs2 Rb2 Ir2 O8'
_cell_length_a 6.719
_cell_length_b 6.719
_cell_length_c 7.876
_cell_angle_alpha 90.00
_cell_angle_beta 90.00
_cell_angle_gamma 90.00
_space_group_name_H-M_alt 'I -4'
_space_group_IT_number 82
_space_group_name_Hall 'I -4'
loop_
_atom_site_label
_atom_site_type_symbol
_atom_site_fract_x
_atom_site_fract_y
_atom_site_fract_z
Cs1 Cs 0.000 0.000 0.000
Rb1 Rb 0.000 0.000 0.500
Ir1 Ir 0.000 0.500 0.750
O1 O 0.192 0.307 0.749
```

2.
# Cs3RbIr2O8
Computed X-ray powder pattern, a wavelength of 1.5418 Å. Input: a PBE-relaxed structure.

Largest 6 diffraction maxima, low angle first, 2θ from 10° to 90°:
Position (°2θ)  I/Imax
25.78  89
26.84  100
37.56  43
46.77  34
47.41  21
60.37  19

```
data_Cs3RbIr2O8
_chemical_formula_sum 'Cs3 Rb1 Ir2 O8'
_cell_length_a 6.6427
_cell_length_b 6.6427
_cell_length_c 8.6467
_cell_angle_alpha 90.00
_cell_angle_beta 90.00
_cell_angle_gamma 120.00
_space_group_name_H-M_alt 'P -3 m 1'
_space_group_IT_number 164
_space_group_name_Hall '-P 3 2"'
loop_
_atom_site_label
_atom_site_type_symbol
_atom_site_fract_x
_atom_site_fract_y
_atom_site_fract_z
Cs1 Cs 0.0000 0.0000 0.0000
Cs2 Cs 0.3333 0.6667 0.6577
Rb1 Rb 0.0000 0.0000 0.5000
Ir1 Ir 0.3333 0.6667 0.2038
O1 O 0.1879 0.3757 0.2947
O2 O 0.3333 0.6667 0.9961
```

3.
# CsTeIrO6
Computed X-ray powder pattern, a wavelength of 1.5418 Å. Input: a PBE-relaxed structure.

Largest 6 diffraction maxima, low angle first, 2θ from 10° to 90°:
Position (°2θ)  I/Imax
28.52  49
28.70  42
28.83  100
29.80  43
30.21  43
50.05  49

```
data_CsTeIrO6
_chemical_formula_sum 'Cs4 Te4 Ir4 O24'
_cell_length_a 7.229
_cell_length_b 7.376
_cell_length_c 10.293
_cell_angle_alpha 90.00
_cell_angle_beta 90.00
_cell_angle_gamma 90.00
_space_group_name_H-M_alt 'I m m a'
_space_group_IT_number 74
_space_group_name_Hall '-I 2b 2'
loop_
_atom_site_label
_atom_site_type_symbol
_atom_site_fract_x
_atom_site_fract_y
_atom_site_fract_z
Cs1 Cs 0.000 0.250 0.122
Te1 Te 0.000 0.000 0.500
Ir1 Ir 0.250 0.250 0.750
O1 O 0.000 0.250 0.428
O2 O 0.000 0.250 0.812
O3 O 0.200 0.051 0.623
```

4.
# CsTiIrO6
Computed X-ray powder pattern, a wavelength of 1.5418 Å. Input: a PBE-relaxed structure.

Largest 6 diffraction maxima, low angle first, 2θ from 10° to 90°:
Position (°2θ)  I/Imax
13.11  21
23.55  100
34.08  24
41.85  17
43.61  36
55.03  19

```
data_CsTiIrO6
_chemical_formula_sum 'Cs1 Ti1 Ir1 O6'
_cell_length_a 5.2611
_cell_length_b 5.2611
_cell_length_c 6.7544
_cell_angle_alpha 90.00
_cell_angle_beta 90.00
_cell_angle_gamma 120.00
_space_group_name_H-M_alt 'P 3 1 2'
_space_group_IT_number 149
_space_group_name_Hall 'P 3 2'
loop_
_atom_site_label
_atom_site_type_symbol
_atom_site_fract_x
_atom_site_fract_y
_atom_site_fract_z
Cs1 Cs 0.0000 0.0000 0.0000
Ti1 Ti 0.3333 0.6667 0.5000
Ir1 Ir 0.6667 0.3333 0.5000
O1 O 0.4026 0.0079 0.6627
```

5.
# Cs2TmIrO6
Computed X-ray powder pattern, a wavelength of 1.5418 Å. Input: a PBE-relaxed structure.

Largest 6 diffraction maxima, low angle first, 2θ from 10° to 90°:
Position (°2θ)  I/Imax
15.40  77
22.00  29
26.84  100
35.27  49
44.86  35
53.05  38

```
data_Cs2TmIrO6
_chemical_formula_sum 'Cs2 Tm1 Ir1 O6'
_cell_length_a 6.6437
_cell_length_b 6.6437
_cell_length_c 5.6755
_cell_angle_alpha 90.00
_cell_angle_beta 90.00
_cell_angle_gamma 120.00
_space_group_name_H-M_alt 'P -3 m 1'
_space_group_IT_number 164
_space_group_name_Hall '-P 3 2"'
loop_
_atom_site_label
_atom_site_type_symbol
_atom_site_fract_x
_atom_site_fract_y
_atom_site_fract_z
Cs1 Cs 0.3333 0.6667 0.1574
Tm1 Tm 0.0000 0.0000 0.5000
Ir1 Ir 0.0000 0.0000 0.0000
O1 O 0.1325 0.2651 0.7889
```

6.
# CsPIrPb
Computed X-ray powder pattern, a wavelength of 1.5418 Å. Input: a PBE-relaxed structure.

Largest 6 diffraction maxima, low angle first, 2θ from 10° to 90°:
Position (°2θ)  I/Imax
12.55  72
25.25  48
33.02  100
43.56  28
49.66  37
51.01  29

```
data_CsPIrPb
_chemical_formula_sum 'Cs2 P2 Ir2 Pb2'
_cell_length_a 4.156
_cell_length_b 4.156
_cell_length_c 14.108
_cell_angle_alpha 90.00
_cell_angle_beta 90.00
_cell_angle_gamma 90.00
_space_group_name_H-M_alt 'P 4/n m m'
_space_group_IT_number 129
loop_
_space_group_symop_operation_xyz
'x,y,z'
'-x,-y,-z'
'-y+1/2,x,z'
'y+1/2,-x,-z'
'-x+1/2,-y+1/2,z'
'x+1/2,y+1/2,-z'
'y,-x+1/2,z'
'-y,x+1/2,-z'
'x+1/2,-y,-z'
'-x+1/2,y,z'
'-y,-x,-z'
'y,x,z'
'-x,y+1/2,-z'
'x,-y+1/2,z'
'y+1/2,x+1/2,-z'
'-y+1/2,-x+1/2,z'
loop_
_atom_site_label
_atom_site_type_symbol
_atom_site_fract_x
_atom_site_fract_y
_atom_site_fract_z
Cs1 Cs 0.250 0.250 0.239
P1 P 0.250 0.250 0.915
Ir1 Ir 0.250 0.750 0.000
Pb1 Pb 0.250 0.750 0.500
```